1.
Mg3GaOs: computed powder diffractogram (Cu Kα), based on a PBE-relaxed structure.
Intensities are scaled so that the largest is 100.

Most intense lines, 2θ from 15° to 90°, most intense first:
2theta, d_spacing, I_rel
25.14, 3.542, 100
44.30, 2.045, 45
35.86, 2.504, 42
17.71, 5.009, 40
51.61, 1.771, 29
70.33, 1.339, 23
40.26, 2.240, 21
58.25, 1.584, 20
87.00, 1.120, 13
81.54, 1.181, 12
55.00, 1.670, 11
64.44, 1.446, 10

Atomic structure:
```
data_Mg3GaOs
_cell_length_a 5.009
_cell_length_b 5.009
_cell_length_c 5.009
_cell_angle_alpha 90.00
_cell_angle_beta 90.00
_cell_angle_gamma 90.00
_space_group_name_H-M_alt 'P 1'
_space_group_IT_number 1
loop_
_space_group_symop_operation_xyz
'x,y,z'
loop_
_atom_site_label
_atom_site_fract_x
_atom_site_fract_y
_atom_site_fract_z
Mg1 0.000 0.000 0.500
Mg2 0.000 0.500 0.000
Mg3 0.500 0.000 0.000
Ga1 0.500 0.500 0.500
Os1 0.000 0.000 0.000
```

2.
AcLa12In4O3: computed powder diffractogram (Cu Kα), based on a PBE-relaxed structure.
Intensities are scaled so that the largest is 100.

Most intense lines, 2θ from 15° to 90°, most intense first:
2theta, d_spacing, I_rel
29.43, 3.035, 100
34.11, 2.629, 85
49.01, 1.859, 57
58.20, 1.585, 38
81.96, 1.176, 22
61.06, 1.518, 18
31.84, 2.810, 14
79.46, 1.206, 13
16.86, 5.257, 12
26.81, 3.325, 10
40.23, 2.242, 10
71.82, 1.314, 8

Atomic structure:
```
data_AcLa12In4O3
_cell_length_a 9.106
_cell_length_b 9.106
_cell_length_c 9.106
_cell_angle_alpha 109.47
_cell_angle_beta 109.47
_cell_angle_gamma 109.47
_space_group_name_H-M_alt 'P 1'
_space_group_IT_number 1
loop_
_space_group_symop_operation_xyz
'x,y,z'
loop_
_atom_site_label
_atom_site_fract_x
_atom_site_fract_y
_atom_site_fract_z
Ac1 0.000 0.000 0.000
La1 0.000 0.278 0.278
La2 0.000 0.722 0.722
La3 0.250 0.500 0.750
La4 0.250 0.750 0.500
La5 0.278 0.000 0.278
La6 0.278 0.278 0.000
La7 0.500 0.250 0.750
La8 0.500 0.750 0.250
La9 0.722 0.000 0.722
La10 0.722 0.722 0.000
La11 0.750 0.250 0.500
La12 0.750 0.500 0.250
In1 0.000 0.000 0.500
In2 0.000 0.500 0.000
In3 0.500 0.000 0.000
In4 0.500 0.500 0.500
O1 0.000 0.500 0.500
O2 0.500 0.000 0.500
O3 0.500 0.500 0.000
```

3.
Li3NdZn9: computed powder diffractogram (Cu Kα), based on a PBE-relaxed structure.
Intensities are scaled so that the largest is 100.

Most intense lines, 2θ from 15° to 90°, most intense first:
2theta, d_spacing, I_rel
39.18, 2.299, 100
34.32, 2.613, 96
40.20, 2.243, 93
36.77, 2.444, 88
39.91, 2.259, 86
19.30, 4.599, 68
39.78, 2.266, 58
41.63, 2.170, 58
39.56, 2.278, 51
28.44, 3.139, 45
42.10, 2.146, 42
34.75, 2.581, 38

Atomic structure:
```
data_Li3NdZn9
_cell_length_a 6.951
_cell_length_b 6.951
_cell_length_c 6.901
_cell_angle_alpha 96.79
_cell_angle_beta 96.79
_cell_angle_gamma 138.82
_space_group_name_H-M_alt 'P 1'
_space_group_IT_number 1
loop_
_space_group_symop_operation_xyz
'x,y,z'
loop_
_atom_site_label
_atom_site_fract_x
_atom_site_fract_y
_atom_site_fract_z
Li1 0.000 0.000 0.000
Li2 0.000 0.500 0.500
Li3 0.500 0.000 0.500
Nd1 0.000 0.000 0.500
Zn1 0.016 0.659 0.146
Zn2 0.281 0.506 0.279
Zn3 0.341 0.984 0.854
Zn4 0.494 0.719 0.721
Zn5 0.500 0.500 0.000
Zn6 0.506 0.281 0.279
Zn7 0.659 0.016 0.146
Zn8 0.719 0.494 0.721
Zn9 0.984 0.341 0.854
```

4.
La5SmAu6: computed powder diffractogram (Cu Kα), based on a PBE-relaxed structure.
Intensities are scaled so that the largest is 100.

Most intense lines, 2θ from 15° to 90°, most intense first:
2theta, d_spacing, I_rel
33.74, 2.656, 100
33.57, 2.670, 51
60.13, 1.539, 38
48.21, 1.888, 19
60.47, 1.531, 18
70.96, 1.328, 11
48.72, 1.869, 9
80.48, 1.193, 8
81.32, 1.183, 8
70.55, 1.335, 6
80.38, 1.195, 4
80.60, 1.192, 4

Atomic structure:
```
data_La5SmAu6
_cell_length_a 9.228
_cell_length_b 9.228
_cell_length_c 5.341
_cell_angle_alpha 106.74
_cell_angle_beta 106.74
_cell_angle_gamma 47.79
_space_group_name_H-M_alt 'P 1'
_space_group_IT_number 1
loop_
_space_group_symop_operation_xyz
'x,y,z'
loop_
_atom_site_label
_atom_site_fract_x
_atom_site_fract_y
_atom_site_fract_z
La1 0.000 0.000 0.000
La2 0.165 0.165 0.665
La3 0.331 0.331 0.331
La4 0.669 0.669 0.669
La5 0.835 0.835 0.335
Sm1 0.500 0.500 0.000
Au1 0.095 0.580 0.838
Au2 0.265 0.735 0.500
Au3 0.420 0.905 0.162
Au4 0.580 0.095 0.838
Au5 0.735 0.265 0.500
Au6 0.905 0.420 0.162
```

5.
BeZn2Re: computed powder diffractogram (Cu Kα), based on a PBE-relaxed structure.
Intensities are scaled so that the largest is 100.

Most intense lines, 2θ from 15° to 90°, most intense first:
2theta, d_spacing, I_rel
42.39, 2.132, 100
34.59, 2.593, 48
45.33, 2.001, 47
81.67, 1.179, 42
31.62, 2.829, 36
27.49, 3.244, 22
63.33, 1.469, 18
41.76, 2.163, 15
66.05, 1.415, 15
53.84, 1.703, 14
75.45, 1.260, 12
76.75, 1.242, 10

Atomic structure:
```
data_BeZn2Re
_cell_length_a 2.829
_cell_length_b 2.829
_cell_length_c 6.489
_cell_angle_alpha 90.00
_cell_angle_beta 90.00
_cell_angle_gamma 90.00
_space_group_name_H-M_alt 'P 1'
_space_group_IT_number 1
loop_
_space_group_symop_operation_xyz
'x,y,z'
loop_
_atom_site_label
_atom_site_fract_x
_atom_site_fract_y
_atom_site_fract_z
Be1 0.000 0.000 0.000
Zn1 0.000 0.000 0.496
Zn2 0.500 0.500 0.774
Re1 0.500 0.500 0.206
```

6.
ThIn6Ni6: computed powder diffractogram (Cu Kα), based on a PBE-relaxed structure.
Intensities are scaled so that the largest is 100.

Most intense lines, 2θ from 15° to 90°, most intense first:
2theta, d_spacing, I_rel
39.02, 2.308, 100
39.30, 2.292, 90
33.43, 2.680, 70
33.74, 2.656, 36
39.65, 2.273, 32
44.01, 2.057, 29
34.06, 2.632, 28
71.53, 1.319, 25
31.03, 2.882, 19
70.24, 1.340, 19
38.68, 2.328, 18
63.89, 1.457, 16

Atomic structure:
```
data_ThIn6Ni6
_cell_length_a 7.029
_cell_length_b 7.029
_cell_length_c 7.029
_cell_angle_alpha 135.59
_cell_angle_beta 99.40
_cell_angle_gamma 97.02
_space_group_name_H-M_alt 'P 1'
_space_group_IT_number 1
loop_
_space_group_symop_operation_xyz
'x,y,z'
loop_
_atom_site_label
_atom_site_fract_x
_atom_site_fract_y
_atom_site_fract_z
Th1 0.000 0.000 0.000
In1 0.187 0.687 0.500
In2 0.337 0.000 0.337
In3 0.346 0.346 0.000
In4 0.654 0.654 0.000
In5 0.663 0.000 0.663
In6 0.813 0.313 0.500
Ni1 0.000 0.000 0.500
Ni2 0.000 0.500 0.000
Ni3 0.231 0.500 0.731
Ni4 0.500 0.000 0.000
Ni5 0.500 0.500 0.500
Ni6 0.769 0.500 0.269
```